Diffraction record for PrDyCl4. The XRD peak list is computed, not measured: it uses DFT lattice parameters and positions (PBE) and a wavelength of 1.5418 Å.
Lines closer than 0.1° are merged.

Structure:
```
PrDyCl4
1.0
3.939 -8.212 0.000
3.939 8.212 0.000
-3.868 0.000 5.578
Pr Dy Cl
2 2 8
Direct
0.056 0.944 0.750
0.944 0.056 0.250
0.438 0.562 0.250
0.562 0.438 0.750
0.087 0.432 0.248
0.208 0.344 0.765
0.344 0.208 0.265
0.432 0.087 0.748
0.568 0.913 0.252
0.656 0.792 0.735
0.792 0.656 0.235
0.913 0.568 0.752
```

Main lines, sorted by position (2θ = 10–80°):
2theta  d_spacing  I (rel.)
10.8  8.212  100
19.2  4.614  46
25.1  3.551  22
29.7  3.011  17
30.0  2.980  16
31.5  2.842  60
32.1  2.789  29
33.9  2.641  13
45.3  2.000  20
45.8  1.982  20